# Ac5HoPb4
Simulated X-ray powder pattern, copper Kα. Input: a DFT-relaxed cell (PBE, Alexandria).
Neutral-atom scattering factors, no anomalous dispersion.

Crystal structure
a = 10.6684 Å, b = 10.6684 Å, c = 9.5519 Å
α = 106.85°, β = 106.85°, γ = 23.71°
Sites, in units of the cell vectors:
Ac (0.0000, 0.0000, 0.0000)
Ac (0.3322, 0.3322, 0.1358)
Ac (0.3326, 0.3326, 0.6786)
Ac (0.6674, 0.6674, 0.3214)
Ac (0.6678, 0.6678, 0.8642)
Ho (0.0000, 0.0000, 0.5000)
Pb (0.1626, 0.1626, 0.5923)
Pb (0.4995, 0.4995, 0.2649)
Pb (0.5005, 0.5005, 0.7351)
Pb (0.8374, 0.8374, 0.4077)

Most intense lines, 2θ from 15° to 90°, by angle:
two_theta	I/Imax
26.8	52.4
27.7	100.0
37.8	18.1
37.9	40.8
39.9	36.0
41.2	17.2
45.2	10.8
49.8	20.0
57.1	11.2
67.0	14.0